Calculated X-ray powder pattern of LaBRh6 for λ = 1.5418 Å (Cu Kα), from a crystal structure in Alexandria, relaxed with GGA-PBE.

Atomic structure:
Unit cell a=5.6809 b=5.6809 c=14.1516 alpha=90.00 beta=90.00 gamma=120.00
Space group R-3m (No. 166, hexagonal axes)
Asymmetric unit:
1 La 0.0000 0.0000 0.0000 x3
2 B 0.0000 0.0000 0.5000 x3
3 Rh 0.0229 0.5114 0.9109 x18

Peak list (12 most intense, 10° ≤ 2θ ≤ 90°, by intensity)
| 2θ/deg | I (rel.) | index |
| --- | --- | --- |
| 37.10 | 100 | 0 2 1 |
| 31.14 | 39 | 1 0 4 |
| 38.76 | 35 | 2 0 2 |
| 65.75 | 23 | 2 2 0 |
| 36.63 | 23 | 0 1 5 |
| 50.28 | 22 | 1 1 6 |
| 49.07 | 21 | 2 0 5 |
| 38.16 | 16 | 0 0 6 |
| 59.48 | 15 | 1 2 5 |
| 85.10 | 12 | 2 0 11 |
| 36.94 | 11 | 1 1 3 |
| 77.87 | 10 | 0 2 10 |

Calculated X-ray powder pattern of RuPt9Rh2 for λ = 1.5418 Å (Cu Kα), from a crystal structure in Alexandria, relaxed with GGA-PBE.

Atomic structure:
Unit cell a=3.9359 b=3.9359 c=11.8229 alpha=90.00 beta=90.00 gamma=90.00
Space group P4/mmm (No. 123)
Asymmetric unit:
1 Ru 0.0000 0.0000 0.0000 x1
2 Pt 0.0000 0.5000 0.1648 x4
3 Pt 0.0000 0.5000 0.5000 x2
4 Pt 0.5000 0.5000 0.0000 x1
5 Pt 0.5000 0.5000 0.3327 x2
6 Rh 0.0000 0.0000 0.3334 x2

Peak list (11 most intense, 10° ≤ 2θ ≤ 90°, by intensity)
| 2θ/deg | I (rel.) | index |
| --- | --- | --- |
| 39.65 | 100 | 1 1 3 |
| 46.10 | 49 | 2 0 0 |
| 80.98 | 39 | 3 1 3 |
| 67.25 | 32 | 2 2 0 |
| 85.41 | 11 | 2 2 6 |
| 22.58 | 5 | 1 0 0 |
| 32.15 | 4 | 1 1 0 |
| 51.93 | 2 | 2 1 0 |
| 57.32 | 2 | 2 1 3 |
| 71.93 | 1 | 2 1 6 |
| 76.49 | 1 | 3 0 3 |

Calculated X-ray powder pattern of Pa5As for λ = 1.5418 Å (Cu Kα), from a crystal structure in Alexandria, relaxed with GGA-PBE.

Atomic structure:
Unit cell a=4.5966 b=13.7810 c=4.4067 alpha=90.00 beta=90.00 gamma=90.00
Space group Cmmm (No. 65)
Asymmetric unit:
1 Pa 0.0000 0.0000 0.0000 x2
2 Pa 0.0000 0.1585 0.5000 x4
3 Pa 0.0000 0.3396 0.0000 x4
4 As 0.0000 0.5000 0.5000 x2

Peak list (12 most intense, 10° ≤ 2θ ≤ 90°, by intensity)
| 2θ/deg | I (rel.) | index |
| --- | --- | --- |
| 34.29 | 100 | 1 3 1 |
| 39.21 | 34 | 2 0 0 |
| 67.92 | 27 | 3 3 1 |
| 57.99 | 23 | 2 0 2 |
| 40.96 | 16 | 0 0 2 |
| 70.33 | 13 | 1 3 3 |
| 56.66 | 12 | 2 6 0 |
| 72.25 | 12 | 2 6 2 |
| 84.30 | 4 | 4 0 0 |
| 28.80 | 4 | 1 1 1 |
| 20.37 | 3 | 1 1 0 |
| 25.86 | 3 | 0 4 0 |

Calculated X-ray powder pattern of UBSe4 for λ = 1.5418 Å (Cu Kα), from a crystal structure in Alexandria, relaxed with GGA-PBE.

Atomic structure:
Unit cell a=6.5046 b=6.5185 c=7.7789 alpha=90.00 beta=90.00 gamma=90.00
Space group P222 (No. 16)
Asymmetric unit:
1 U 0.0000 0.0000 0.0000 x1
2 U 0.0000 0.5000 0.5000 x1
3 B 0.0000 0.0000 0.5000 x1
4 B 0.5000 0.0000 0.0000 x1
5 Se 0.1851 0.1807 0.3383 x4
6 Se 0.3192 0.2255 0.8770 x4

Peak list (12 most intense, 10° ≤ 2θ ≤ 90°, by intensity)
| 2θ/deg | I (rel.) | index |
| --- | --- | --- |
| 13.61 | 100 | 1 0 0 |
| 17.76 | 95 | 0 1 1 |
| 22.44 | 81 | 1 1 1 |
| 32.86 | 79 | 2 1 1 |
| 30.08 | 73 | 1 1 2 |
| 45.57 | 51 | 1 3 1 |
| 35.97 | 51 | 2 0 2 |
| 38.61 | 45 | 1 2 2 |
| 39.13 | 42 | 2 2 0 |
| 39.90 | 36 | 1 1 3 |
| 55.00 | 35 | 0 2 4 |
| 30.68 | 32 | 1 2 0 |

Calculated X-ray powder pattern of Ac2ZnAg5 for λ = 1.5418 Å (Cu Kα), from a crystal structure in Alexandria, relaxed with GGA-PBE.

Atomic structure:
Unit cell a=4.7057 b=17.1322 c=9.8729 alpha=90.00 beta=90.00 gamma=90.00
Space group Cmcm (No. 63)
Asymmetric unit:
1 Ac 0.0000 0.0000 0.0000 x4
2 Ac 0.0000 0.2045 0.2500 x4
3 Zn 0.0000 0.4423 0.7500 x4
4 Ag 0.0000 0.1838 0.6084 x8
5 Ag 0.0000 0.3531 0.5288 x8
6 Ag 0.0000 0.4042 0.2500 x4

Peak list (12 most intense, 10° ≤ 2θ ≤ 90°, by intensity)
| 2θ/deg | I (rel.) | index |
| --- | --- | --- |
| 30.56 | 100 | 1 3 2 |
| 32.32 | 90 | 1 5 0 |
| 33.64 | 74 | 1 1 3 |
| 38.25 | 53 | 2 0 0 |
| 36.37 | 47 | 0 0 4 |
| 53.81 | 30 | 2 0 4 |
| 26.68 | 21 | 1 1 2 |
| 20.77 | 21 | 0 2 2 |
| 41.89 | 20 | 0 6 3 |
| 44.38 | 19 | 1 3 4 |
| 61.91 | 17 | 1 3 6 |
| 65.44 | 17 | 3 5 0 |

Calculated X-ray powder pattern of ReTcS for λ = 1.5418 Å (Cu Kα), from a crystal structure in Alexandria, relaxed with GGA-PBE.

Atomic structure:
Unit cell a=2.8744 b=2.8744 c=11.8401 alpha=90.00 beta=90.00 gamma=120.00
Space group P-6m2 (No. 187)
Asymmetric unit:
1 Re 0.0000 0.0000 0.0000 x1
2 Re 0.0000 0.0000 0.5000 x1
3 Tc 0.6667 0.3333 0.1808 x2
4 S 0.3333 0.6667 0.3451 x2

Peak list (12 most intense, 10° ≤ 2θ ≤ 90°, by intensity)
| 2θ/deg | I (rel.) | index |
| --- | --- | --- |
| 39.26 | 100 | 1 0 2 |
| 47.74 | 46 | 1 0 4 |
| 14.96 | 36 | 0 0 2 |
| 64.88 | 22 | 1 1 0 |
| 36.08 | 21 | 1 0 0 |
| 42.96 | 20 | 1 0 3 |
| 83.15 | 20 | 1 1 6 |
| 45.99 | 18 | 0 0 6 |
| 74.60 | 18 | 1 0 8 |
| 78.53 | 13 | 2 0 2 |
| 30.19 | 13 | 0 0 4 |
| 59.81 | 11 | 1 0 6 |

Calculated X-ray powder pattern of La2HfNi9 for λ = 1.5418 Å (Cu Kα), from a crystal structure in Alexandria, relaxed with GGA-PBE.

Atomic structure:
Unit cell a=4.9040 b=4.9040 c=25.2684 alpha=90.00 beta=90.00 gamma=120.00
Space group R-3m (No. 166, hexagonal axes)
Asymmetric unit:
1 La 0.0000 0.0000 0.1363 x6
2 Hf 0.0000 0.0000 0.0000 x3
3 Ni 0.0000 0.0000 0.3330 x6
4 Ni 0.0000 0.0000 0.5000 x3
5 Ni 0.0008 0.5004 0.0777 x18

Peak list (12 most intense, 10° ≤ 2θ ≤ 90°, by intensity)
| 2θ/deg | I (rel.) | index |
| --- | --- | --- |
| 42.69 | 100 | 1 1 6 |
| 35.42 | 39 | 0 1 8 |
| 36.65 | 38 | 1 1 0 |
| 32.55 | 37 | 1 0 7 |
| 77.92 | 16 | 2 2 0 |
| 70.13 | 15 | 0 3 6 |
| 65.19 | 13 | 1 2 8 |
| 49.34 | 13 | 1 1 9 |
| 68.19 | 12 | 2 0 14 |
| 43.20 | 11 | 2 0 2 |
| 63.42 | 11 | 2 1 7 |
| 46.38 | 10 | 2 0 5 |

Calculated X-ray powder pattern of Cu4TeSeS2 for λ = 1.5418 Å (Cu Kα), from a crystal structure in Alexandria, relaxed with GGA-PBE.

Atomic structure:
Unit cell a=5.4420 b=5.4420 c=10.8966 alpha=90.00 beta=90.00 gamma=90.00
Space group I-4 (No. 82)
Asymmetric unit:
1 Cu 0.2126 0.2357 0.1314 x8
2 Te 0.0000 0.0000 0.5000 x2
3 Se 0.0000 0.5000 0.7500 x2
4 S 0.0000 0.0000 0.0000 x2
5 S 0.0000 0.5000 0.2500 x2

Peak list (12 most intense, 10° ≤ 2θ ≤ 90°, by intensity)
| 2θ/deg | I (rel.) | index |
| --- | --- | --- |
| 28.40 | 100 | 1 1 2 |
| 47.22 | 67 | 2 0 4 |
| 56.02 | 38 | 1 1 6 |
| 87.85 | 18 | 2 2 8 |
| 37.88 | 15 | 1 2 1 |
| 76.23 | 13 | 1 3 6 |
| 29.57 | 12 | 1 0 3 |
| 69.00 | 9 | 0 0 8 |
| 18.22 | 8 | 1 0 1 |
| 44.81 | 7 | 1 0 5 |
| 51.04 | 5 | 3 0 1 |
| 76.83 | 5 | 3 2 5 |

Calculated X-ray powder pattern of Ac2PuSe5 for λ = 1.5418 Å (Cu Kα), from a crystal structure in Alexandria, relaxed with GGA-PBE.

Atomic structure:
Unit cell a=8.2331 b=12.5753 c=4.4224 alpha=90.00 beta=90.00 gamma=90.00
Space group Pbam (No. 55)
Asymmetric unit:
1 Ac 0.0563 0.1721 0.0000 x4
2 Pu 0.0000 0.5000 0.5000 x2
3 Se 0.0000 0.0000 0.5000 x2
4 Se 0.1575 0.7036 0.5000 x4
5 Se 0.1794 0.4198 0.0000 x4

Peak list (12 most intense, 10° ≤ 2θ ≤ 90°, by intensity)
| 2θ/deg | I (rel.) | index |
| --- | --- | --- |
| 23.86 | 100 | 1 3 0 |
| 30.48 | 75 | 2 1 1 |
| 32.96 | 74 | 2 2 1 |
| 21.59 | 33 | 2 0 0 |
| 40.81 | 33 | 0 0 2 |
| 35.02 | 32 | 0 4 1 |
| 42.80 | 31 | 1 5 1 |
| 39.27 | 30 | 3 3 0 |
| 31.35 | 25 | 1 3 1 |
| 24.61 | 24 | 0 2 1 |
| 48.76 | 19 | 2 6 0 |
| 47.80 | 19 | 1 3 2 |

Calculated X-ray powder pattern of Tm3Si2Ru5 for λ = 1.5418 Å (Cu Kα), from a crystal structure in Alexandria, relaxed with GGA-PBE.

Atomic structure:
Unit cell a=10.0939 b=10.0939 c=3.3094 alpha=90.00 beta=90.00 gamma=90.00
Space group P4/mbm (No. 127)
Asymmetric unit:
1 Tm 0.0000 0.0000 0.0000 x2
2 Tm 0.1729 0.3271 0.0000 x4
3 Si 0.1258 0.6258 0.0000 x4
4 Ru 0.0000 0.5000 0.5000 x2
5 Ru 0.0709 0.7850 0.5000 x8

Peak list (12 most intense, 10° ≤ 2θ ≤ 90°, by intensity)
| 2θ/deg | I (rel.) | index |
| --- | --- | --- |
| 39.21 | 100 | 3 1 1 |
| 36.71 | 57 | 4 1 0 |
| 33.58 | 51 | 2 1 1 |
| 39.94 | 32 | 4 2 0 |
| 37.05 | 31 | 2 2 1 |
| 68.45 | 21 | 4 1 2 |
| 42.28 | 21 | 3 2 1 |
| 61.87 | 18 | 6 0 1 |
| 55.54 | 17 | 0 0 2 |
| 65.59 | 16 | 5 4 1 |
| 72.05 | 12 | 7 1 1 |
| 70.58 | 12 | 4 2 2 |